Computed powder diffraction line list
Compound: RbNbOsClO5
Radiation: Cu Kα, 1.54184 Å
Structure: the GGA-PBE geometry in OQMD
Kinematic intensities with the Lorentz-polarization factor, no thermal factor.

Principal peaks in the range 2θ from 10° to 90°, by angle:
(hkl)	two_theta	d_spacing	I/Imax
0 0 1	11.5	7.685	57.4
1 0 1	17.4	5.092	22.4
1 1 0	18.5	4.807	24.3
0 0 2	23.1	3.843	28.0
2 0 0	26.2	3.399	100.0
1 1 2	29.8	3.001	40.4
2 0 2	35.3	2.546	45.7
2 2 0	37.4	2.403	28.3
2 2 2	44.5	2.038	27.6
3 1 2	48.5	1.876	24.8

Cell: 6.798 6.798 7.685 Å, 90.00 90.00 90.00°
Space group P4/nmm (No. 129, origin choice 2)
Symmetry-distinct sites (fractional):
Rb (0.250, 0.750, 0.000) (multiplicity 2)
Nb (0.250, 0.250, 0.371) (multiplicity 2)
Os (0.250, 0.750, 0.500) (multiplicity 2)
Cl (0.250, 0.250, 0.028) (multiplicity 2)
O (0.050, 0.750, 0.661) (multiplicity 8)
O (0.250, 0.250, 0.600) (multiplicity 2)